Calculated X-ray powder pattern
Compound: VH12Cl3O6
Radiation: Cu Kα X-rays
Structure: DFT lattice parameters and positions (PBE+U)
Kinematic intensities with the Lorentz-polarization factor, no thermal factor.

The 10 most intense peaks (2θ from 10° to 90°), by intensity:
2theta, intensity
20.15, 100
28.47, 60
31.50, 58
33.35, 57
27.71, 55
13.66, 53
15.68, 52
15.03, 52
40.95, 52
21.54, 49

Atomic structure:
```
data_VH12Cl3O6
_cell_length_a 6.547
_cell_length_b 6.439
_cell_length_c 11.904
_cell_angle_alpha 90.00
_cell_angle_beta 98.00
_cell_angle_gamma 90.00
_space_group_name_H-M_alt 'P 1 21/c 1'
_space_group_IT_number 14
loop_
_space_group_symop_operation_xyz
'x,y,z'
'-x,-y,-z'
'-x,y+1/2,-z+1/2'
'x,-y+1/2,z+1/2'
loop_
_atom_site_label
_atom_site_type_symbol
_atom_site_fract_x
_atom_site_fract_y
_atom_site_fract_z
V1 V 0.000 0.000 0.000
H1 H 0.020 0.133 0.619
H2 H 0.211 0.645 0.194
H3 H 0.214 0.654 0.952
H4 H 0.215 0.096 0.829
H5 H 0.315 0.235 0.939
H6 H 0.337 0.048 0.665
Cl1 Cl 0.266 0.535 0.660
Cl2 Cl 0.500 0.000 0.500
O1 O 0.077 0.722 0.934
O2 O 0.199 0.144 0.908
O3 O 0.213 0.010 0.700
```